No. 1
This entry pairs a crystal structure of NaGe2Cl6 with its computed X-ray diffraction stick pattern. Radiation: copper Kα. Structure: the GGA-PBE geometry in Alexandria.
Lines closer than 0.1° are merged.

Cell and atoms:
```
data_NaGe2Cl6
_cell_length_a 12.935
_cell_length_b 11.431
_cell_length_c 9.395
_cell_angle_alpha 90.00
_cell_angle_beta 116.75
_cell_angle_gamma 90.00
_symmetry_space_group_name_H-M 'C 1 2/c 1'
_symmetry_Int_Tables_number 15
loop_
_symmetry_equiv_pos_as_xyz
'x,y,z'
'-x,-y,-z'
'-x,y,-z+1/2'
'x,-y,z+1/2'
'x+1/2,y+1/2,z'
'-x+1/2,-y+1/2,-z'
'-x+1/2,y+1/2,-z+1/2'
'x+1/2,-y+1/2,z+1/2'
loop_
_atom_site_label
_atom_site_fract_x
_atom_site_fract_y
_atom_site_fract_z
Na1 0.000 0.084 0.250
Ge1 0.184 0.435 0.231
Cl1 0.117 0.082 0.643
Cl2 0.144 0.240 0.189
Cl3 0.151 0.492 0.465
```

Principal peaks in the range 2θ from 5° to 70°, in order of rising 2θ:
hkl	two_theta	I_rel
2 0 0	15.3	54
0 2 0	15.5	100
0 2 1	18.8	93
2 0 -2	19.8	81
2 2 -1	21.1	67
0 0 2	21.2	61
3 1 0	24.4	92
4 0 0	31.0	33
2 2 -3	32.6	46
0 4 1	33.1	71
2 0 -4	38.5	44
2 4 -3	42.8	50

---

No. 2
This entry pairs a crystal structure of Nd6GeP2Cl3 with its computed X-ray diffraction stick pattern. Radiation: copper Kα. Structure: the GGA-PBE geometry in Alexandria.
Lines closer than 0.1° are merged.

Cell and atoms:
```
data_Nd6GeP2Cl3
_cell_length_a 18.432
_cell_length_b 4.175
_cell_length_c 8.475
_cell_angle_alpha 90.00
_cell_angle_beta 104.22
_cell_angle_gamma 90.00
_symmetry_space_group_name_H-M 'C 1 2/m 1'
_symmetry_Int_Tables_number 12
loop_
_symmetry_equiv_pos_as_xyz
'x,y,z'
'-x,-y,-z'
'-x,y,-z'
'x,-y,z'
'x+1/2,y+1/2,z'
'-x+1/2,-y+1/2,-z'
'-x+1/2,y+1/2,-z'
'x+1/2,-y+1/2,z'
loop_
_atom_site_label
_atom_site_fract_x
_atom_site_fract_y
_atom_site_fract_z
Nd1 0.009 0.000 0.240
Nd2 0.162 0.500 0.106
Nd3 0.175 0.500 0.564
Ge1 0.000 0.500 0.000
P1 0.168 0.000 0.335
Cl1 0.000 0.500 0.500
Cl2 0.165 0.000 0.833
```

Principal peaks in the range 2θ from 5° to 70°, in order of rising 2θ:
hkl	two_theta	I_rel
2 0 -1	12.7	8
4 0 -2	25.6	13
3 1 0	26.0	45
1 1 -2	30.0	100
8 0 -1	39.1	7
7 1 -2	42.7	32
5 1 2	43.2	25
0 2 0	43.3	13
9 1 0	50.9	8
4 0 4	53.5	6
6 2 0	53.6	13
2 2 -4	62.4	10

---

No. 3
This entry pairs a crystal structure of Nd6Ge2SCl3 with its computed X-ray diffraction stick pattern. Radiation: copper Kα. Structure: the GGA-PBE geometry in Alexandria.
Lines closer than 0.1° are merged.

Cell and atoms:
```
data_Nd6Ge2SCl3
_cell_length_a 18.438
_cell_length_b 4.229
_cell_length_c 8.392
_cell_angle_alpha 90.00
_cell_angle_beta 103.90
_cell_angle_gamma 90.00
_symmetry_space_group_name_H-M 'C 1 2/m 1'
_symmetry_Int_Tables_number 12
loop_
_symmetry_equiv_pos_as_xyz
'x,y,z'
'-x,-y,-z'
'-x,y,-z'
'x,-y,z'
'x+1/2,y+1/2,z'
'-x+1/2,-y+1/2,-z'
'-x+1/2,y+1/2,-z'
'x+1/2,-y+1/2,z'
loop_
_atom_site_label
_atom_site_fract_x
_atom_site_fract_y
_atom_site_fract_z
Nd1 0.003 0.000 0.226
Nd2 0.156 0.500 0.091
Nd3 0.172 0.500 0.572
Ge1 0.165 0.000 0.331
S1 0.000 0.500 0.000
Cl1 0.000 0.500 0.500
Cl2 0.173 0.000 0.838
```

Principal peaks in the range 2θ from 5° to 70°, in order of rising 2θ:
hkl	two_theta	I_rel
2 0 -1	12.8	9
3 1 0	25.8	34
2 0 2	26.1	11
1 1 -2	30.0	100
3 1 -3	39.3	4
0 2 0	42.7	35
5 1 2	43.1	35
4 2 -2	50.6	5
2 2 2	50.8	10
6 2 0	53.1	18
4 0 4	53.7	6
2 2 -4	62.4	7

---

No. 4
This entry pairs a crystal structure of Nd3SnGeCl with its computed X-ray diffraction stick pattern. Radiation: copper Kα. Structure: the GGA-PBE geometry in Alexandria.
Lines closer than 0.1° are merged.

Cell and atoms:
```
data_Nd3SnGeCl
_cell_length_a 7.590
_cell_length_b 4.242
_cell_length_c 11.397
_cell_angle_alpha 90.00
_cell_angle_beta 101.87
_cell_angle_gamma 90.00
_symmetry_space_group_name_H-M 'P 1 21/m 1'
_symmetry_Int_Tables_number 11
loop_
_symmetry_equiv_pos_as_xyz
'x,y,z'
'-x,-y,-z'
'-x,y+1/2,-z'
'x,-y+1/2,z'
loop_
_atom_site_label
_atom_site_fract_x
_atom_site_fract_y
_atom_site_fract_z
Nd1 0.043 0.250 0.157
Nd2 0.227 0.750 0.497
Nd3 0.452 0.750 0.851
Sn1 0.151 0.250 0.688
Ge1 0.267 0.750 0.067
Cl1 0.381 0.250 0.371
```

Principal peaks in the range 2θ from 5° to 70°, in order of rising 2θ:
hkl	two_theta	I_rel
0 0 3	23.9	40
0 1 2	26.4	66
1 1 -2	27.6	100
2 0 2	31.6	72
2 1 0	32.0	31
2 1 -2	33.6	85
2 1 1	34.3	74
2 0 -4	36.1	85
0 1 4	38.6	47
0 2 0	42.6	71
2 2 2	54.0	31
2 2 -4	57.1	34